# PrMgW2O6
Computed X-ray diffraction stick pattern, Cu Kα X-rays. Input: a crystal structure in Alexandria, relaxed with PBE+U.
Intensities are scaled so that the largest is 100.

Cell and atoms:
Cell lengths 5.5553, 5.6990, 9.7745 Å; angles 90.00, 124.24, 90.00 degrees
Positions (direct):
Pr: 0.0000 0.2002 0.0000
Pr: 0.0000 0.7998 0.5000
Mg: 0.5352 0.2911 0.5307
Mg: 0.5352 0.7089 0.0307
W: 0.2543 0.2406 0.7495
W: 0.2543 0.7594 0.2495
W: 0.7562 0.2659 0.2505
W: 0.7562 0.7341 0.7505
O: 0.1399 0.1988 0.4952
O: 0.1399 0.8012 0.9952
O: 0.3982 0.3331 0.0001
O: 0.3982 0.6669 0.5001
O: 0.5192 0.0902 0.3263
O: 0.5192 0.9098 0.8263
O: 0.6239 0.4185 0.7865
O: 0.6239 0.5815 0.2865
O: 0.8659 0.0442 0.6892
O: 0.8659 0.9558 0.1892
O: 0.9585 0.4698 0.1687
O: 0.9585 0.5302 0.6687

Most intense lines, 10° ≤ 2θ ≤ 80°, in order of rising 2θ:
two_theta  d [Å]  intensity  index
22.35  3.978  30  1 1 -1
31.45  2.844  100  1 1 1
31.64  2.828  66  1 1 -3
32.23  2.778  31  2 0 -2
44.87  2.020  16  0 0 4
45.61  1.989  28  2 2 -2
56.07  1.640  20  2 0 2
57.20  1.611  16  3 1 -5